(1)
The following is a simulated PXRD pattern of NpAgSeO5. It was derived from a DFT-relaxed cell (PBE, the Materials Project), using Cu Kα X-rays.
Intensities are scaled so that the largest is 100.

Most intense lines, 10 to 80 degrees two-theta, in order of rising 2θ:
- hkl 1 0 0, 2θ 12.92, rel. 21
- hkl 0 2 0, 2θ 21.57, rel. 71
- hkl 1 2 0, 2θ 22.55, rel. 34
- hkl 0 1 2, 2θ 24.53, rel. 24
- hkl 2 0 1, 2θ 25.83, rel. 17
- hkl 1 0 -2, 2θ 27.64, rel. 70
- hkl 2 0 2, 2θ 29.93, rel. 100
- hkl 0 2 -2, 2θ 30.08, rel. 99
- hkl 2 -1 0, 2θ 30.41, rel. 25
- hkl 1 0 4, 2θ 42.91, rel. 31

```
data_NpAgSeO5
_cell_length_a 7.212
_cell_length_b 8.455
_cell_length_c 8.459
_cell_angle_alpha 89.35
_cell_angle_beta 77.35
_cell_angle_gamma 77.09
_space_group_name_H-M_alt 'P -1'
_space_group_IT_number 2
_space_group_name_Hall '-P 1'
loop_
_atom_site_label
_atom_site_type_symbol
_atom_site_fract_x
_atom_site_fract_y
_atom_site_fract_z
_atom_site_occupancy
Np1 Np 0.004 0.244 0.243 1
Np2 Np 0.113 0.718 0.237 1
Ag1 Ag 0.311 0.975 0.492 1
Ag2 Ag 0.383 0.905 0.900 1
Se1 Se 0.349 0.288 0.847 1
Se2 Se 0.406 0.369 0.383 1
O1 O 0.007 0.533 0.777 1
O2 O 0.022 0.017 0.271 1
O3 O 0.088 0.706 0.464 1
O4 O 0.134 0.735 0.010 1
O5 O 0.238 0.210 0.712 1
O6 O 0.281 0.173 0.015 1
O7 O 0.295 0.215 0.341 1
O8 O 0.353 0.745 0.673 1
O9 O 0.386 0.489 0.221 1
O10 O 0.412 0.820 0.221 1
```

(2)
The following is a simulated PXRD pattern of AgO. It was derived from a DFT-relaxed cell (PBE, the Materials Project), using Cu Kα X-rays.
Intensities are scaled so that the largest is 100.

Most intense lines, 10 to 80 degrees two-theta, in order of rising 2θ:
- hkl 1 1 1, 2θ 31.51, rel. 100
- hkl 0 0 2, 2θ 31.91, rel. 17
- hkl 0 2 0, 2θ 37.47, rel. 11
- hkl 2 0 0, 2θ 39.84, rel. 10
- hkl 0 2 2, 2θ 50.02, rel. 17
- hkl 2 0 2, 2θ 51.92, rel. 15
- hkl 2 2 0, 2θ 55.84, rel. 12
- hkl 1 1 3, 2θ 56.61, rel. 18
- hkl 1 3 1, 2θ 63.90, rel. 12
- hkl 3 1 1, 2θ 67.16, rel. 10

```
data_AgO
_cell_length_a 4.525
_cell_length_b 4.800
_cell_length_c 5.609
_cell_angle_alpha 90.00
_cell_angle_beta 90.00
_cell_angle_gamma 90.00
_space_group_name_H-M_alt 'C c c m'
_space_group_IT_number 66
_space_group_name_Hall '-C 2 2c'
loop_
_atom_site_label
_atom_site_type_symbol
_atom_site_fract_x
_atom_site_fract_y
_atom_site_fract_z
_atom_site_occupancy
Ag1 Ag 0.250 0.250 0.000 1
O1 O 0.000 0.000 0.250 1
```